Starting from a DFT-relaxed cell (GGA-PBE, Alexandria), the powder diffractogram of La9CeSm4 was computed for λ = 1.5418 Å (Cu Kα).
Kinematic intensities with the Lorentz-polarization factor, no thermal factor.

The 12 most intense peaks (10 to 90 degrees two-theta), in order of rising 2θ:
hkl 1 0 3, 2θ 25.63, intensity 15.8; hkl 2 1 2, 2θ 31.26, intensity 100.0; hkl 0 0 4, 2θ 31.44, intensity 18.3; hkl 3 0 1, 2θ 31.66, intensity 34.5; hkl 2 2 0, 2θ 35.53, intensity 9.1; hkl 3 1 3, 2θ 44.32, intensity 8.4; hkl 3 0 5, 2θ 50.88, intensity 21.7; hkl 3 2 3, 2θ 51.49, intensity 9.2; hkl 3 3 0, 2θ 54.48, intensity 13.9; hkl 5 0 2, 2θ 54.88, intensity 14.6; hkl 3 3 4, 2θ 64.26, intensity 10.5; hkl 6 2 2, 2θ 80.99, intensity 11.4

Structure:
a = 10.1059 Å, b = 10.1059 Å, c = 11.3825 Å
α = 90.00°, β = 90.00°, γ = 120.00°
Space group P6_3/mmc (No. 194)
One atom of each set of equivalent atoms:
La  0.0729  0.5364  0.2500 x6
La  0.2095  0.4189  0.5426 x12
Ce  0.3333  0.6667  0.7500 x2
Sm  0.0000  0.0000  0.0000 x2
Sm  0.1123  0.2246  0.2500 x6